# LiMg6Fe
Theoretical XRD peak list, Cu Kα. Input: a crystal structure in Alexandria, relaxed with GGA-PBE.

Main lines, by angle (10 to 80 degrees two-theta):
d [Å]  Rel. int.
5.686  23
2.430  100
2.383  23
2.342  24
1.670  15
1.368  15

Structural model:
Unit cell a=4.6836 b=5.9383 c=5.9383 alpha=73.22 beta=90.00 gamma=90.00
Positions (direct):
Li 0.0000 0.0000 0.0000
Mg 0.0000 0.4874 0.4874
Mg 0.0000 0.5221 0.9641
Mg 0.0000 0.9641 0.5221
Mg 0.5000 0.2065 0.7480
Mg 0.5000 0.2388 0.2388
Mg 0.5000 0.7480 0.2065
Fe 0.5000 0.7129 0.7129